Entry 1:
Structure and simulated powder diffraction line list of Tl16O15F17 (a GGA-PBE-relaxed structure; a wavelength of 1.5418 Å).

Crystal structure
a b c (Å): 9.7050 9.7050 9.6364
angles (deg): 109.80 109.80 109.02
Element x y z (fractional)
Tl 0.0000 0.0000 0.0000
Tl 0.0180 0.2614 0.7259
Tl 0.0299 0.7733 0.2563
Tl 0.0477 0.5448 0.4958
Tl 0.2339 0.2339 0.4869
Tl 0.2580 0.5177 0.2523
Tl 0.2614 0.0180 0.7259
Tl 0.2835 0.7834 0.9707
Tl 0.4920 0.4920 0.9662
Tl 0.5093 0.7901 0.7225
Tl 0.5177 0.2580 0.2523
Tl 0.5448 0.0477 0.4958
Tl 0.7733 0.0299 0.2563
Tl 0.7834 0.2835 0.9707
Tl 0.7901 0.5093 0.7225
Tl 0.8038 0.8038 0.5116
O 0.0138 0.7724 0.4856
O 0.0270 0.2760 0.4885
O 0.0382 0.5708 0.7306
O 0.2550 0.2550 0.7692
O 0.2760 0.0270 0.4885
O 0.2806 0.5491 0.4955
O 0.3105 0.8303 0.7662
O 0.5127 0.9976 0.2114
O 0.5491 0.2806 0.4955
O 0.5708 0.0382 0.7306
O 0.7724 0.0138 0.4856
O 0.8303 0.3105 0.7662
O 0.9688 0.9688 0.2062
O 0.9964 0.9964 0.7761
O 0.9976 0.5127 0.2114
F 0.0497 0.2753 0.0129
F 0.0533 0.7686 0.0168
F 0.2473 0.2473 0.2613
F 0.2735 0.5479 0.0025
F 0.2753 0.0497 0.0129
F 0.2995 0.7752 0.2836
F 0.4338 0.4338 0.1779
F 0.4692 0.4692 0.7135
F 0.5302 0.7476 0.9623
F 0.5441 0.7319 0.4738
F 0.5479 0.2735 0.0025
F 0.7026 0.7026 0.2162
F 0.7319 0.5441 0.4738
F 0.7373 0.7373 0.7782
F 0.7476 0.5302 0.9623
F 0.7686 0.0533 0.0168
F 0.7752 0.2995 0.2836

Top 12 peaks for 2θ = 10–80°, by intensity:
| 2θ (°) | I (rel.) |
| --- | --- |
| 27.57 | 100 |
| 27.76 | 96 |
| 45.86 | 54 |
| 32.20 | 47 |
| 54.52 | 28 |
| 54.83 | 27 |
| 31.76 | 21 |
| 45.94 | 16 |
| 54.09 | 15 |
| 46.41 | 15 |
| 73.90 | 9 |
| 56.93 | 9 |

Entry 2:
Structure and simulated powder diffraction line list of TlO2F2 (a GGA-PBE-relaxed structure; a wavelength of 1.5418 Å).

Crystal structure
a b c (Å): 6.4585 6.4585 4.4623
angles (deg): 90.00 90.00 90.00
Element x y z (fractional)
Tl 0.0000 0.0000 0.0000
Tl 0.5000 0.5000 0.0000
O 0.0672 0.4328 0.5000
O 0.4328 0.9328 0.5000
O 0.5672 0.0672 0.5000
O 0.9328 0.5672 0.5000
F 0.2314 0.7314 0.0000
F 0.2686 0.2314 0.0000
F 0.7314 0.7686 0.0000
F 0.7686 0.2686 0.0000

Top 12 peaks for 2θ = 10–80°, by intensity:
| 2θ (°) | I (rel.) |
| --- | --- |
| 27.96 | 100 |
| 19.44 | 64 |
| 19.90 | 46 |
| 49.05 | 37 |
| 27.62 | 33 |
| 44.57 | 27 |
| 39.46 | 24 |
| 34.28 | 22 |
| 44.35 | 21 |
| 61.56 | 16 |
| 45.23 | 16 |
| 57.77 | 15 |

Entry 3:
Structure and simulated powder diffraction line list of Tl3O2F2 (a GGA-PBE-relaxed structure; a wavelength of 1.5418 Å).

Crystal structure
a b c (Å): 3.5215 6.1963 6.2832
angles (deg): 70.51 86.56 87.73
Element x y z (fractional)
Tl 0.0000 0.0000 0.0000
Tl 0.4880 0.6822 0.6180
Tl 0.5120 0.3178 0.3820
O 0.4936 0.9691 0.7781
O 0.5064 0.0309 0.2219
F 0.0192 0.5951 0.1850
F 0.9808 0.4049 0.8150

Top 12 peaks for 2θ = 10–80°, by intensity:
| 2θ (°) | I (rel.) |
| --- | --- |
| 28.93 | 100 |
| 24.72 | 76 |
| 29.27 | 53 |
| 30.22 | 41 |
| 29.99 | 26 |
| 46.67 | 20 |
| 45.87 | 19 |
| 52.25 | 19 |
| 42.60 | 18 |
| 29.39 | 18 |
| 31.82 | 17 |
| 47.28 | 16 |

Entry 4:
Structure and simulated powder diffraction line list of UOF4 (a GGA-PBE-relaxed structure; a wavelength of 1.5418 Å).

Crystal structure
a b c (Å): 8.8214 8.8214 8.8214
angles (deg): 97.39 97.39 137.95
Element x y z (fractional)
U 0.3750 0.2034 0.3284
U 0.7966 0.1250 0.1716
U 0.8750 0.0466 0.6716
U 0.9534 0.6250 0.8284
O 0.1095 0.6250 0.9845
O 0.3750 0.3595 0.4845
O 0.6405 0.1250 0.0155
O 0.8750 0.8905 0.5155
F 0.0314 0.1075 0.2119
F 0.0925 0.4884 0.2640
F 0.1715 0.9075 0.3959
F 0.1805 0.9686 0.0761
F 0.2244 0.8285 0.7360
F 0.2384 0.3425 0.7640
F 0.5116 0.7756 0.6041
F 0.5256 0.7616 0.1041
F 0.5695 0.1456 0.2881
F 0.5785 0.4744 0.2360
F 0.6575 0.4215 0.8959
F 0.7186 0.4305 0.5761
F 0.8544 0.1425 0.4239
F 0.8575 0.2814 0.7119
F 0.8925 0.1044 0.9239
F 0.8956 0.8195 0.7881

Top 12 peaks for 2θ = 10–80°, by intensity:
| 2θ (°) | I (rel.) |
| --- | --- |
| 22.10 | 100 |
| 15.94 | 65 |
| 24.17 | 61 |
| 32.19 | 26 |
| 43.65 | 24 |
| 41.31 | 23 |
| 21.58 | 22 |
| 34.78 | 22 |
| 44.26 | 20 |
| 46.44 | 18 |
| 45.41 | 15 |
| 30.26 | 14 |

Entry 5:
Structure and simulated powder diffraction line list of UOF4 (a GGA-PBE-relaxed structure; a wavelength of 1.5418 Å).

Crystal structure
a b c (Å): 8.0271 8.0271 8.0271
angles (deg): 114.43 114.43 114.43
Element x y z (fractional)
U 0.1953 0.1953 0.6094
U 0.1953 0.6094 0.1953
U 0.6094 0.1953 0.1953
O 0.5190 0.9318 0.9318
O 0.9318 0.5190 0.9318
O 0.9318 0.9318 0.5190
F 0.0064 0.0064 0.2350
F 0.0064 0.2350 0.0064
F 0.2350 0.0064 0.0064
F 0.2861 0.4849 0.9563
F 0.2861 0.9563 0.4849
F 0.4849 0.2861 0.9563
F 0.4849 0.9563 0.2861
F 0.4895 0.4895 0.7182
F 0.4895 0.7182 0.4895
F 0.7182 0.4895 0.4895
F 0.9563 0.2861 0.4849
F 0.9563 0.4849 0.2861

Top 12 peaks for 2θ = 10–80°, by intensity:
| 2θ (°) | I (rel.) |
| --- | --- |
| 21.62 | 100 |
| 22.82 | 63 |
| 25.37 | 42 |
| 17.11 | 40 |
| 46.18 | 29 |
| 36.95 | 29 |
| 26.41 | 28 |
| 41.67 | 27 |
| 48.65 | 24 |
| 13.12 | 23 |
| 34.62 | 19 |
| 70.09 | 17 |